1.
For Ti2VTe5, DFT lattice parameters and positions (PBE) gives the computed powder diffractogram in this record (Cu Kα X-rays).
No peak broadening, texture or thermal motion is included.

Unit cell a=5.499 b=13.351 c=12.702 alpha=90.00 beta=90.00 gamma=90.00
Space group Cmcm (No. 63)
Unique sites:
Ti  0.000  0.167  0.042 x8
V  0.000  0.194  0.750 x4
Te  0.000  0.037  0.619 x8
Te  0.000  0.252  0.250 x4
Te  0.000  0.334  0.584 x8

Most intense lines, 10 to 90 degrees two-theta, low angle first:
d 5.085, 2θ 17.44, I = 53, (1 1 0); d 3.575, 2θ 24.90, I = 35, (0 2 3); d 3.460, 2θ 25.75, I = 57, (1 3 0); d 3.338, 2θ 26.71, I = 53, (1 3 1); d 3.254, 2θ 27.41, I = 81, (1 1 3); d 2.868, 2θ 31.19, I = 45, (0 2 4); d 2.750, 2θ 32.56, I = 100, (2 0 0); d 2.621, 2θ 34.21, I = 70, (0 4 3); d 2.339, 2θ 38.48, I = 68, (1 3 4); d 1.897, 2θ 47.95, I = 53, (2 4 3)

2.
For Th2PdRh5Pb, DFT lattice parameters and positions (PBE) gives the computed powder diffractogram in this record (Cu Kα X-rays).
No peak broadening, texture or thermal motion is included.

Unit cell a=8.437 b=8.437 c=10.590 alpha=90.00 beta=90.00 gamma=90.00
Space group I4/mcm (No. 140)
Unique sites:
Th  0.141  0.359  0.000 x8
Pd  0.000  0.500  0.250 x4
Rh  0.000  0.000  0.000 x4
Rh  0.190  0.310  0.364 x16
Pb  0.000  0.000  0.250 x4

Most intense lines, 10 to 90 degrees two-theta, low angle first:
d 3.554, 2θ 25.05, I = 18, (2 1 1); d 3.299, 2θ 27.03, I = 19, (2 0 2); d 2.983, 2θ 29.96, I = 51, (2 2 0); d 2.668, 2θ 33.59, I = 61, (3 1 0); d 2.578, 2θ 34.80, I = 100, (2 1 3); d 2.285, 2θ 39.44, I = 19, (3 2 1); d 2.242, 2θ 40.22, I = 42, (2 0 4); d 1.959, 2θ 46.34, I = 28, (4 0 2); d 1.847, 2θ 49.34, I = 25, (2 1 5); d 1.770, 2θ 51.63, I = 22, (4 1 3)

3.
For BaZn3Pt, DFT lattice parameters and positions (PBE) gives the computed powder diffractogram in this record (Cu Kα X-rays).
No peak broadening, texture or thermal motion is included.

Unit cell a=6.428 b=6.464 c=10.652 alpha=90.00 beta=90.00 gamma=90.00
Space group Amm2 (No. 38)
Unique sites:
Ba  0.000  0.000  0.000 x2
Ba  0.500  0.000  0.483 x2
Zn  0.000  0.000  0.599 x2
Zn  0.250  0.231  0.748 x8
Zn  0.500  0.000  0.124 x2
Pt  0.000  0.000  0.355 x2
Pt  0.500  0.000  0.883 x2

Most intense lines, 10 to 90 degrees two-theta, low angle first:
d 4.190, 2θ 21.20, I = 29, (1 1 1); d 3.232, 2θ 27.60, I = 25, (0 2 0); d 3.214, 2θ 27.76, I = 24, (2 0 0); d 2.801, 2θ 31.95, I = 100, (1 1 3); d 2.763, 2θ 32.40, I = 45, (0 2 2); d 2.752, 2θ 32.54, I = 46, (2 0 2); d 2.279, 2θ 39.54, I = 83, (2 2 0); d 1.930, 2θ 47.09, I = 36, (1 1 5); d 1.771, 2θ 51.62, I = 26, (1 3 3); d 1.765, 2θ 51.80, I = 26, (3 1 3)

4.
For SrTbIn6, DFT lattice parameters and positions (PBE) gives the computed powder diffractogram in this record (Cu Kα X-rays).
No peak broadening, texture or thermal motion is included.

Unit cell a=4.746 b=4.746 c=9.527 alpha=90.00 beta=90.00 gamma=90.00
Space group P4/mmm (No. 123)
Unique sites:
Sr  0.000  0.000  0.000 x1
Tb  0.000  0.000  0.500 x1
In  0.000  0.500  0.258 x4
In  0.500  0.500  0.000 x1
In  0.500  0.500  0.500 x1

Most intense lines, 10 to 90 degrees two-theta, low angle first:
d 2.743, 2θ 32.64, I = 100, (1 1 2); d 2.382, 2θ 37.77, I = 16, (0 0 4); d 2.373, 2θ 37.92, I = 33, (2 0 0); d 1.681, 2θ 54.59, I = 22, (2 0 4); d 1.678, 2θ 54.71, I = 11, (2 2 0); d 1.435, 2θ 64.97, I = 13, (1 1 6); d 1.431, 2θ 65.18, I = 26, (3 1 2); d 1.372, 2θ 68.39, I = 11, (2 2 4); d 1.186, 2θ 81.05, I = 4, (4 0 0); d 1.091, 2θ 89.96, I = 11, (3 1 6)

5.
For Ba9Pt2Au4, DFT lattice parameters and positions (PBE) gives the computed powder diffractogram in this record (Cu Kα X-rays).
No peak broadening, texture or thermal motion is included.

Unit cell a=8.1272 b=8.1272 c=22.7823 alpha=90.00 beta=90.00 gamma=120.00
Space group P-3c1 (No. 165)
Unique sites:
Ba  0.0000  0.3067  0.2500 x6
Ba  0.0058  0.3294  0.5855 x12
Pt  0.0000  0.0000  0.1613 x4
Au  0.3333  0.6667  0.1707 x4
Au  0.3333  0.6667  0.4977 x4

Most intense lines, 10 to 90 degrees two-theta, low angle first:
d 5.988, 2θ 14.79, I = 35, (1 0 2); d 4.428, 2θ 20.05, I = 21, (0 1 4); d 4.064, 2θ 21.87, I = 14, (1 1 0); d 3.583, 2θ 24.85, I = 66, (1 1 3); d 2.774, 2θ 32.27, I = 100, (1 1 6); d 2.346, 2θ 38.37, I = 55, (3 0 0); d 2.149, 2θ 42.05, I = 16, (1 1 9); d 1.791, 2θ 50.98, I = 27, (2 2 6); d 1.476, 2θ 62.98, I = 25, (3 0 12); d 1.424, 2θ 65.57, I = 29, (4 1 6)

6.
For Ac2La2ThRh4, DFT lattice parameters and positions (PBE) gives the computed powder diffractogram in this record (Cu Kα X-rays).
No peak broadening, texture or thermal motion is included.

Unit cell a=18.392 b=4.088 c=6.509 alpha=90.00 beta=99.51 gamma=90.00
Space group C2/m (No. 12)
Unique sites:
Ac  0.117  0.000  0.066 x4
La  0.177  0.500  0.609 x4
Th  0.000  0.000  0.500 x2
Rh  0.017  0.500  0.792 x4
Rh  0.241  0.500  0.168 x4

Most intense lines, 10 to 90 degrees two-theta, low angle first:
d 3.445, 2θ 25.86, I = 22, (4 0 1); d 3.197, 2θ 27.91, I = 25, (2 0 -2); d 2.928, 2θ 30.53, I = 34, (6 0 -1); d 2.887, 2θ 30.98, I = 100, (3 1 1); d 2.851, 2θ 31.37, I = 16, (4 0 -2); d 2.713, 2θ 33.01, I = 26, (5 1 0); d 2.618, 2θ 34.25, I = 37, (5 1 -1); d 2.457, 2θ 36.57, I = 34, (1 1 2); d 2.445, 2θ 36.75, I = 33, (3 1 -2); d 2.044, 2θ 44.32, I = 29, (0 2 0)